1.
# Pr2Nd7
Computed PXRD pattern, a wavelength of 1.5418 Å. Input: a cell relaxed with GGA-PBE.
Intensities are scaled so that the largest is 100.

Principal peaks in the range 10° ≤ 2θ ≤ 90°, most intense first:
two_theta	d/Å	I (rel.)
30.67	2.915	100
30.40	2.940	74
60.22	1.537	29
43.73	2.070	25
54.36	1.688	24
32.12	2.787	19

Cell and atoms:
```
9
Lattice="10.097 0.000 0.000 -5.049 8.744 0.000 0.000 0.000 3.617" Properties=species:S:1:pos:R:3 pbc="T T T"
Pr 0.000 5.830 0.000
Pr 5.049 2.915 0.000
Nd 0.000 0.000 1.809
Nd -1.569 2.718 0.000
Nd -3.272 5.667 1.809
Nd 3.138 0.000 0.000
Nd 1.777 3.078 1.809
Nd 6.543 0.000 1.809
Nd 3.479 6.027 0.000
```

---

2.
# PrNd5Pt4
Computed PXRD pattern, a wavelength of 1.5418 Å. Input: a cell relaxed with GGA-PBE.
Intensities are scaled so that the largest is 100.

Principal peaks in the range 10° ≤ 2θ ≤ 90°, most intense first:
two_theta	d/Å	I (rel.)
31.13	2.873	100
40.21	2.243	75
30.51	2.930	39
42.11	2.146	26
45.77	1.983	20
52.87	1.732	19

Cell and atoms:
```
10
Lattice="-2.146 3.965 8.790 2.146 -3.965 8.790 2.146 3.965 -8.790" Properties=species:S:1:pos:R:3 pbc="T T T"
Pr 0.000 0.000 0.000
Nd 2.146 1.936 -2.899
Nd 2.146 1.936 2.899
Nd 0.000 3.965 0.000
Nd 0.000 2.029 5.891
Nd 0.000 2.029 11.688
Pt 0.000 0.000 3.599
Pt 2.146 2.022 0.000
Pt 0.000 1.943 8.790
Pt 0.000 0.000 13.980
```

---

3.
# PrNd4Pt4
Computed PXRD pattern, a wavelength of 1.5418 Å. Input: a cell relaxed with GGA-PBE.
Intensities are scaled so that the largest is 100.

Principal peaks in the range 10° ≤ 2θ ≤ 90°, most intense first:
two_theta	d/Å	I (rel.)
30.02	2.977	100
43.16	2.096	75
30.27	2.952	49
53.46	1.714	40
42.97	2.105	38
78.87	1.214	25

Cell and atoms:
```
9
Lattice="-4.707 4.707 2.952 4.707 -4.707 2.952 4.707 4.707 -2.952" Properties=species:S:1:pos:R:3 pbc="T T T"
Pr 0.000 0.000 0.000
Nd 5.667 1.761 0.000
Nd 1.761 3.747 0.000
Nd 2.946 0.960 2.952
Nd -0.960 2.946 2.952
Pt 2.786 0.977 0.000
Pt 3.730 -1.920 2.952
Pt 0.977 6.627 0.000
Pt 1.920 3.730 2.952
```

---

4.
# PrNdPt10
Computed PXRD pattern, a wavelength of 1.5418 Å. Input: a cell relaxed with GGA-PBE.
Intensities are scaled so that the largest is 100.

Principal peaks in the range 10° ≤ 2θ ≤ 90°, most intense first:
two_theta	d/Å	I (rel.)
38.89	2.316	100
43.52	2.079	37
40.67	2.219	35
18.87	4.702	34
38.24	2.354	19
43.64	2.074	18

Cell and atoms:
```
12
Lattice="4.437 0.000 0.000 0.000 5.442 0.000 0.000 0.000 9.384" Properties=species:S:1:pos:R:3 pbc="T T T"
Pr 0.000 0.000 0.000
Nd 0.000 2.721 4.692
Pt 0.000 0.000 3.133
Pt 0.000 0.000 6.252
Pt 0.000 2.721 1.574
Pt 0.000 2.721 7.810
Pt 2.219 0.000 4.692
Pt 2.219 1.362 2.350
Pt 2.219 1.362 7.034
Pt 2.219 2.721 0.000
Pt 2.219 4.080 2.350
Pt 2.219 4.080 7.034
```

---

5.
# Pr4Nd3Pt4
Computed PXRD pattern, a wavelength of 1.5418 Å. Input: a cell relaxed with GGA-PBE.
Intensities are scaled so that the largest is 100.

Principal peaks in the range 10° ≤ 2θ ≤ 90°, most intense first:
two_theta	d/Å	I (rel.)
29.84	2.994	100
40.66	2.219	44
31.12	2.874	37
37.70	2.386	34
33.80	2.652	14
44.30	2.045	14

Cell and atoms:
```
11
Lattice="-2.386 3.958 8.087 2.386 -3.958 8.087 2.386 3.958 -8.087" Properties=species:S:1:pos:R:3 pbc="T T T"
Pr 2.386 -2.236 5.364
Pr 0.000 1.722 2.723
Pr 2.386 2.236 5.364
Pr 0.000 6.194 2.723
Nd 2.386 0.000 0.000
Nd 0.000 0.000 6.527
Nd 0.000 0.000 9.647
Pt 2.386 0.000 3.280
Pt 0.000 2.526 0.000
Pt 0.000 5.390 0.000
Pt 0.000 3.958 4.807
```

---

6.
# Pr5Nd3Pt2
Computed PXRD pattern, a wavelength of 1.5418 Å. Input: a cell relaxed with GGA-PBE.
Intensities are scaled so that the largest is 100.

Principal peaks in the range 10° ≤ 2θ ≤ 90°, most intense first:
two_theta	d/Å	I (rel.)
28.54	3.127	100
35.37	2.537	42
34.74	2.583	35
27.09	3.292	32
28.31	3.152	23
51.17	1.785	20

Cell and atoms:
```
20
Lattice="-6.489 7.213 3.571 6.489 -7.213 3.571 6.489 7.213 -3.571" Properties=species:S:1:pos:R:3 pbc="T T T"
Pr 6.489 3.881 -1.785
Pr 2.647 1.006 0.000
Pr 0.000 0.000 1.785
Pr 2.647 -1.006 3.571
Pr 0.000 3.331 1.785
Pr 6.489 3.881 1.785
Pr 3.841 8.219 0.000
Pr 0.000 0.000 5.356
Pr 3.841 6.207 3.571
Pr 0.000 3.331 5.356
Nd 9.606 2.564 0.000
Nd 6.489 0.000 1.785
Nd 3.117 4.649 0.000
Nd 3.371 2.564 3.571
Nd 0.000 7.213 1.785
Nd -3.117 4.649 3.571
Pt 5.195 2.089 0.000
Pt 5.195 -2.089 3.571
Pt 1.294 9.302 0.000
Pt 1.294 5.124 3.571
```

---

7.
# Pr2NdSmPt2
Computed PXRD pattern, a wavelength of 1.5418 Å. Input: a cell relaxed with GGA-PBE.
Intensities are scaled so that the largest is 100.

Principal peaks in the range 10° ≤ 2θ ≤ 90°, most intense first:
two_theta	d/Å	I (rel.)
36.33	2.473	100
35.84	2.505	93
28.39	3.144	84
30.77	2.906	60
41.92	2.155	50
56.66	1.625	37

Cell and atoms:
```
12
Lattice="-3.500 7.182 3.494 3.500 -7.182 3.494 3.500 7.182 -3.494" Properties=species:S:1:pos:R:3 pbc="T T T"
Pr 1.459 2.770 0.000
Pr 1.459 -2.770 3.494
Pr 2.040 9.953 0.000
Pr 2.040 4.412 3.494
Nd 3.500 0.000 1.747
Nd 0.000 7.182 1.747
Sm 0.000 0.000 1.747
Sm 0.000 0.000 5.242
Pt 5.348 1.596 0.000
Pt 1.848 5.587 0.000
Pt 1.651 1.596 3.494
Pt -1.848 5.587 3.494
```

---

8.
# Pr7Nd12Pu
Computed PXRD pattern, a wavelength of 1.5418 Å. Input: a cell relaxed with GGA-PBE.
Intensities are scaled so that the largest is 100.

Principal peaks in the range 10° ≤ 2θ ≤ 90°, most intense first:
two_theta	d/Å	I (rel.)
30.50	2.931	100
43.68	2.072	75
26.34	3.384	74
51.73	1.767	34
72.06	1.311	33
54.21	1.692	26

Cell and atoms:
```
20
Lattice="-5.861 5.861 5.861 5.861 -5.861 5.861 5.861 5.861 -5.861" Properties=species:S:1:pos:R:3 pbc="T T T"
Pr 2.931 2.931 -2.931
Pr 2.931 -2.931 2.931
Pr 5.861 0.000 0.000
Pr -2.931 2.931 2.931
Pr 0.000 5.861 0.000
Pr 0.000 0.000 5.861
Pr 2.931 2.931 2.931
Nd 5.861 2.979 -2.979
Nd 5.861 -2.979 2.979
Nd 2.979 5.861 -2.979
Nd 2.882 2.882 0.000
Nd 2.882 0.000 2.882
Nd 2.979 -2.979 5.861
Nd 0.000 2.882 2.882
Nd 5.861 2.979 2.979
Nd -2.979 5.861 2.979
Nd -2.979 2.979 5.861
Nd 2.979 5.861 2.979
Nd 2.979 2.979 5.861
Pu 0.000 0.000 0.000
```

---

9.
# Pr3Nd2PuS6
Computed PXRD pattern, a wavelength of 1.5418 Å. Input: a cell relaxed with GGA-PBE.
Intensities are scaled so that the largest is 100.

Principal peaks in the range 10° ≤ 2θ ≤ 90°, most intense first:
two_theta	d/Å	I (rel.)
31.08	2.877	100
44.53	2.035	49
26.75	3.333	41
26.92	3.312	40
73.61	1.287	22
52.63	1.739	17

Cell and atoms:
```
12
Lattice="8.872 -2.025 0.000 8.872 2.025 0.000 -1.891 0.000 7.956" Properties=species:S:1:pos:R:3 pbc="T T T"
Pr 0.000 0.000 0.000
Pr 4.648 0.000 5.288
Pr 11.205 0.000 2.667
Nd 5.626 0.000 1.350
Nd 10.227 0.000 6.606
Pu -0.946 0.000 3.978
S 1.798 0.000 4.645
S 2.827 0.000 0.649
S 8.387 0.000 2.060
S 7.466 0.000 5.896
S 13.026 0.000 7.306
S 14.055 0.000 3.311
```

---

10.
# PrNdPu2Te5
Computed PXRD pattern, a wavelength of 1.5418 Å. Input: a cell relaxed with GGA-PBE.
Intensities are scaled so that the largest is 100.

Principal peaks in the range 10° ≤ 2θ ≤ 90°, most intense first:
two_theta	d/Å	I (rel.)
31.43	2.846	100
22.09	4.025	98
31.62	2.830	70
27.34	3.262	56
45.05	2.012	37
33.91	2.644	37

Cell and atoms:
```
9
Lattice="5.692 0.000 0.000 0.000 5.692 0.000 0.000 0.000 11.940" Properties=species:S:1:pos:R:3 pbc="T T T"
Pr 0.000 0.000 0.000
Nd 0.000 0.000 5.970
Pu 2.846 2.846 3.987
Pu 2.846 2.846 7.953
Te 0.000 0.000 2.942
Te 0.000 0.000 8.998
Te 0.000 2.846 5.970
Te 2.846 0.000 5.970
Te 2.846 2.846 0.000
```

---

11.
# Pr4NdRh
Computed PXRD pattern, a wavelength of 1.5418 Å. Input: a cell relaxed with GGA-PBE.
Intensities are scaled so that the largest is 100.

Principal peaks in the range 10° ≤ 2θ ≤ 90°, most intense first:
two_theta	d/Å	I (rel.)
31.81	2.813	100
30.47	2.933	67
29.19	3.059	37
39.12	2.303	37
58.63	1.574	27
53.43	1.715	19

Cell and atoms:
```
12
Lattice="8.896 -3.852 0.000 8.896 3.852 0.000 -2.098 0.000 5.747" Properties=species:S:1:pos:R:3 pbc="T T T"
Pr 6.026 1.938 2.207
Pr 8.896 2.268 0.000
Pr 4.106 0.000 4.762
Pr 9.667 1.938 3.540
Pr 6.026 -1.938 2.207
Pr 11.588 0.000 0.985
Pr 8.896 -2.268 0.000
Pr 9.667 -1.938 3.540
Nd 3.114 0.000 1.142
Nd 12.579 0.000 4.605
Rh 8.327 0.000 1.556
Rh 7.366 0.000 4.191
```

---

12.
# Pr2Nd3Rh2
Computed PXRD pattern, a wavelength of 1.5418 Å. Input: a cell relaxed with GGA-PBE.
Intensities are scaled so that the largest is 100.

Principal peaks in the range 10° ≤ 2θ ≤ 90°, most intense first:
two_theta	d/Å	I (rel.)
31.69	2.823	100
31.41	2.848	84
33.38	2.684	77
29.99	2.980	75
46.54	1.951	58
33.08	2.708	56

Cell and atoms:
```
14
Lattice="12.508 0.000 0.000 0.000 3.901 0.000 -3.995 0.000 8.350" Properties=species:S:1:pos:R:3 pbc="T T T"
Pr 0.858 0.000 2.590
Pr 1.401 1.951 5.760
Pr 7.112 1.951 2.590
Pr 7.655 0.000 5.760
Nd -1.997 1.951 4.175
Nd -2.264 1.951 7.752
Nd 4.523 0.000 0.598
Nd 4.257 0.000 4.175
Nd 3.990 0.000 7.752
Nd 10.777 1.951 0.598
Rh -0.776 0.000 6.204
Rh 3.035 1.951 2.146
Rh 5.478 1.951 6.204
Rh 9.289 0.000 2.146
```